Diffraction record for Rb2TlCd5. The PXRD pattern is theoretical, not measured: it uses DFT lattice parameters and positions (PBE) and λ = 1.5418 Å (Cu Kα).

Atomic structure:
abc: 9.456 9.443 8.157
angles: 90.00 125.28 90.00
Space group Cm (No. 8)
Symmetry-distinct sites (fractional):
Rb (0.000, 0.250, 0.000) [4 per cell]
Tl (0.368, 0.000, 0.233) [2 per cell]
Cd (0.000, 0.243, 0.500) [4 per cell]
Cd (0.134, 0.000, 0.771) [2 per cell]
Cd (0.243, 0.000, 0.499) [2 per cell]
Cd (0.257, 0.500, 0.502) [2 per cell]

Most intense lines, 15° ≤ 2θ ≤ 90°, in order of falling intensity:
Position (°2θ)  d_spacing  Rel. int.  index
29.9  2.986  100  2 2 -2
38.1  2.362  71  0 4 0
32.9  2.722  39  2 0 1
30.7  2.916  25  3 1 -2
38.2  2.356  20  2 2 -3
55.0  1.670  17  4 4 -2
49.3  1.849  15  2 2 2
24.1  3.698  15  1 1 1
68.9  1.363  14  4 0 2
69.1  1.360  12  0 4 4